# 1
Calculated X-ray diffraction stick pattern
Compound: Zn12Ga16Sn
Radiation: Cu Kα X-rays
Structure: a structure optimized by DFT (GGA-PBE)
Neutral-atom scattering factors, no anomalous dispersion.

Most intense lines, 15 to 90 degrees two-theta, in order of rising 2θ:
2θ (°)  I_rel  index
31.89  55.9  4 2 -2
32.03  45.4  3 3 -2
34.79  82.3  3 3 0
34.95  64.0  2 2 -3
35.72  43.8  4 0 0
36.19  40.3  4 2 -3
38.78  55.5  5 1 -1
39.60  64.1  0 0 3
39.79  37.3  0 4 2
42.91  56.9  6 0 -2
43.05  100.0  3 5 -1
44.07  53.3  5 1 -4

Crystal structure
Cell: 12.7991 12.1109 8.6914 Å, 90.00 128.22 90.00°
Space group Cm (No. 8)
Inequivalent atoms, fractional coordinates:
Zn1 0.0000 0.0000 0.0000 x2
Zn2 0.0014 0.3943 0.2944 x4
Zn3 0.0931 0.3176 0.9914 x4
Zn4 0.1432 0.0000 0.4175 x2
Zn5 0.2442 0.3261 0.3934 x4
Zn6 0.2761 0.3949 0.9338 x4
Zn7 0.4526 0.3865 0.4107 x4
Ga1 0.0158 0.1918 0.1839 x4
Ga2 0.1415 0.2681 0.6087 x4
Ga3 0.1653 0.0000 0.7460 x2
Ga4 0.2288 0.5000 0.1681 x2
Ga5 0.2577 0.1189 0.2705 x4
Ga6 0.2653 0.5000 0.6174 x2
Ga7 0.2694 0.1812 0.9838 x4
Ga8 0.3426 0.1526 0.6644 x4
Ga9 0.4440 0.0000 0.9751 x2
Ga10 0.4885 0.3543 0.7508 x4
Sn1 0.0096 0.5000 0.6162 x2

=====

# 2
Calculated X-ray diffraction stick pattern
Compound: La2Tl4Cd
Radiation: Cu Kα X-rays
Structure: a structure optimized by DFT (GGA-PBE)
Neutral-atom scattering factors, no anomalous dispersion.

Most intense lines, 15 to 90 degrees two-theta, in order of rising 2θ:
2θ (°)  I_rel  index
21.35  27.4  1 1 -1
25.08  29.8  4 0 -1
26.70  21.4  4 0 0
30.37  100.0  0 2 0
34.43  89.1  3 1 1
39.78  17.5  1 1 2
40.86  21.1  4 2 0
43.49  37.8  2 2 -2
51.76  14.3  2 2 2
56.59  33.0  3 3 1
64.10  15.6  8 2 0
71.71  17.3  4 2 -4

Crystal structure
Cell: 14.5828 5.8861 5.8862 Å, 90.00 113.67 90.00°
Space group C2/m (No. 12)
Inequivalent atoms, fractional coordinates:
La1 0.1411 0.0000 0.1414 x4
Tl1 0.0000 0.0000 0.5000 x2
Tl2 0.0000 0.5000 0.0000 x2
Tl3 0.2500 0.0000 0.7496 x4
Cd1 0.0000 0.5000 0.5000 x2